(1)
Structure and computed X-ray diffraction stick pattern of HfPb2O (a structure optimized by DFT (GGA-PBE); Cu Kα (weighted mean of Kα1 and Kα2)).
No peak broadening, texture or thermal motion is included.

The 6 most intense peaks (5° ≤ 2θ ≤ 70°), by intensity:
2θ (°)  I/Imax
30.65  100
30.90  73
35.93  39
40.29  32
47.93  31
57.56  27

Structure:
```
HfPb2O
1.0
-3.5346 3.5346 3.5926
3.5346 -3.5346 3.5926
3.5346 3.5346 -3.5926
Hf Pb O
2 4 2
direct
0.0000 0.0000 0.0000
0.7500 0.2500 0.5000
0.1957 0.6250 0.0707
0.3750 0.4457 0.5707
0.5543 0.1250 0.9293
0.8750 0.8043 0.4293
0.2500 0.7500 0.5000
0.5000 0.5000 0.0000
```

***

(2)
Structure and computed X-ray diffraction stick pattern of HfPbO3 (a structure optimized by DFT (GGA-PBE); Cu Kα (weighted mean of Kα1 and Kα2)).
No peak broadening, texture or thermal motion is included.

The 6 most intense peaks (5° ≤ 2θ ≤ 70°), by intensity:
2θ (°)  I/Imax
29.11  100
32.14  19
55.45  17
56.57  16
46.73  16
33.00  14

Structure:
```
HfPbO3
1.0
5.4287 0.0000 0.0000
0.0000 5.5693 0.0000
0.0000 0.0000 4.9919
Hf Pb O
2 2 6
direct
0.2500 0.0000 0.2007
0.7500 0.0000 0.7993
0.2500 0.5000 0.7372
0.7500 0.5000 0.2628
0.0000 0.0000 0.5000
0.0000 0.2437 0.0000
0.0000 0.7563 0.0000
0.5000 0.0000 0.5000
0.5000 0.2437 0.0000
0.5000 0.7563 0.0000
```

***

(3)
Structure and computed X-ray diffraction stick pattern of HfSbPbO6 (a structure optimized by DFT (GGA-PBE); Cu Kα (weighted mean of Kα1 and Kα2)).
No peak broadening, texture or thermal motion is included.

The 6 most intense peaks (5° ≤ 2θ ≤ 70°), by intensity:
2θ (°)  I/Imax
26.01  100
32.68  45
49.63  41
42.23  27
54.40  27
58.32  14

Structure:
```
HfSbPbO6
1.0
5.4807 0.0000 0.0000
-2.7404 4.7464 0.0000
0.0000 0.0000 9.9017
Hf Sb Pb O
2 2 2 12
direct
0.3333 0.6667 0.2500
0.6667 0.3333 0.7500
0.3333 0.6667 0.7500
0.6667 0.3333 0.2500
0.0000 0.0000 0.0000
0.0000 0.0000 0.5000
0.0107 0.3723 0.6402
0.0107 0.6384 0.8598
0.3616 0.3723 0.8598
0.3616 0.9893 0.6402
0.3723 0.0107 0.1402
0.3723 0.3616 0.3598
0.6277 0.6384 0.6402
0.6277 0.9893 0.8598
0.6384 0.0107 0.3598
0.6384 0.6277 0.1402
0.9893 0.3616 0.1402
0.9893 0.6277 0.3598
```

***

(4)
Structure and computed X-ray diffraction stick pattern of Hf4TiPb5O15 (a structure optimized by DFT (GGA-PBE); Cu Kα (weighted mean of Kα1 and Kα2)).
No peak broadening, texture or thermal motion is included.

The 6 most intense peaks (5° ≤ 2θ ≤ 70°), by intensity:
2θ (°)  I/Imax
30.68  100
30.41  98
54.35  27
54.44  20
43.66  17
43.76  16

Structure:
```
Hf4TiPb5O15
1.0
5.8856 0.0000 0.0000
2.8743 9.6703 0.0000
2.8009 2.6610 12.4606
Hf Ti Pb O
8 2 10 30
direct
0.0000 0.0000 0.0000
0.0009 0.5005 0.5005
0.1972 0.4024 0.1982
0.1989 0.9027 0.6974
0.5964 0.7029 0.0986
0.5971 0.2031 0.5982
0.7962 0.1032 0.2982
0.7977 0.6032 0.7987
0.4107 0.3010 0.8959
0.4118 0.8010 0.3953
0.0512 0.2468 0.7471
0.0508 0.7459 0.2470
0.2435 0.1353 0.4356
0.2453 0.6372 0.9353
0.4400 0.0555 0.1330
0.4422 0.5546 0.6334
0.6451 0.4534 0.3373
0.6452 0.9545 0.8375
0.8608 0.3470 0.0313
0.8616 0.8472 0.5318
0.0531 0.9750 0.8453
0.0676 0.4371 0.3584
0.0719 0.4381 0.8525
0.0823 0.9603 0.3622
0.1608 0.6687 0.4419
0.1796 0.1580 0.9629
0.2622 0.3697 0.0441
0.2650 0.8392 0.0558
0.2727 0.8393 0.5536
0.2775 0.3650 0.5685
0.3584 0.0677 0.6482
0.3812 0.5549 0.1726
0.4579 0.2323 0.2556
0.4601 0.7722 0.2530
0.4708 0.2378 0.7647
0.4722 0.7563 0.7676
0.5534 0.4574 0.8459
0.5746 0.9471 0.3677
0.6573 0.6475 0.4484
0.6580 0.1682 0.4471
0.6646 0.1677 0.9599
0.6693 0.6318 0.9600
0.7498 0.8708 0.0404
0.7718 0.3612 0.5660
0.8527 0.5755 0.6449
0.8606 0.0403 0.1556
0.8679 0.0404 0.6531
0.8789 0.5644 0.1664
0.9524 0.2674 0.2437
0.9790 0.7547 0.7681
```

***

(5)
Structure and computed X-ray diffraction stick pattern of HfTi4Pb5O15 (a structure optimized by DFT (GGA-PBE); Cu Kα (weighted mean of Kα1 and Kα2)).
No peak broadening, texture or thermal motion is included.

The 6 most intense peaks (5° ≤ 2θ ≤ 70°), by intensity:
2θ (°)  I/Imax
29.88  100
29.98  98
32.46  78
51.47  45
37.95  40
56.25  34

Structure:
```
HfTi4Pb5O15
1.0
3.9118 0.0000 0.0000
0.0000 19.4490 0.0000
0.0000 0.0000 4.6398
Hf Ti Pb O
1 4 5 15
direct
0.0000 0.0000 0.0000
0.0000 0.2037 0.0026
0.0000 0.4013 0.0028
0.0000 0.5987 0.0028
0.0000 0.7963 0.0026
0.5000 0.1041 0.5551
0.5000 0.3024 0.5594
0.5000 0.5000 0.5586
0.5000 0.6976 0.5594
0.5000 0.8959 0.5551
0.0000 0.0000 0.4181
0.0000 0.1052 0.8988
0.0000 0.2031 0.3804
0.0000 0.3025 0.8938
0.0000 0.4013 0.3801
0.0000 0.5000 0.8938
0.0000 0.5987 0.3801
0.0000 0.6975 0.8938
0.0000 0.7969 0.3804
0.0000 0.8948 0.8988
0.5000 0.0000 0.8837
0.5000 0.2035 0.8989
0.5000 0.4012 0.9001
0.5000 0.5988 0.9001
0.5000 0.7965 0.8989
```

***

(6)
Structure and computed X-ray diffraction stick pattern of HfTi4Pb5O15 (a structure optimized by DFT (GGA-PBE); Cu Kα (weighted mean of Kα1 and Kα2)).
No peak broadening, texture or thermal motion is included.

The 6 most intense peaks (5° ≤ 2θ ≤ 70°), by intensity:
2θ (°)  I/Imax
29.90  100
32.50  39
56.38  34
51.38  23
46.62  22
37.95  20

Structure:
```
HfTi4Pb5O15
1.0
5.4139 -2.7550 0.0000
5.4139 2.7550 0.0000
-1.6089 0.0000 11.8495
Hf Ti Pb O
1 4 5 15
direct
0.0000 0.0000 0.0000
0.2014 0.2014 0.5986
0.3919 0.3919 0.2005
0.6056 0.6056 0.7980
0.7993 0.7993 0.4022
0.1210 0.1210 0.3106
0.3214 0.3214 0.9110
0.5234 0.5234 0.5102
0.7178 0.7178 0.1165
0.9260 0.9260 0.7065
0.0521 0.5573 0.2816
0.1579 0.6476 0.0804
0.1627 0.1627 0.0863
0.2682 0.7532 0.8747
0.3521 0.3521 0.6717
0.3603 0.8605 0.6783
0.4572 0.9560 0.4789
0.5437 0.5437 0.2745
0.5573 0.0521 0.2816
0.6476 0.1579 0.0804
0.7532 0.2682 0.8747
0.7570 0.7570 0.8746
0.8605 0.3603 0.6783
0.9496 0.9496 0.4782
0.9560 0.4572 0.4789
```